The following is a theoretical X-ray diffraction stick pattern of Ho2Sb5. It was derived from a cell relaxed with PBE, using Cu Kα (weighted mean of Kα1 and Kα2).
Neutral-atom scattering factors, no anomalous dispersion.

Main lines, in order of falling intensity (10° ≤ 2θ ≤ 90°):
| d_spacing | I (rel.) | index |
| --- | --- | --- |
| 2.560 | 100 | 4 1 0 |
| 2.485 | 88 | 3 1 -4 |
| 2.590 | 85 | 1 1 4 |
| 2.975 | 85 | 1 1 3 |
| 2.106 | 68 | 0 2 0 |
| 3.008 | 35 | 3 1 0 |
| 3.078 | 33 | 3 0 -4 |
| 3.002 | 32 | 2 1 -3 |
| 3.280 | 29 | 1 0 4 |
| 2.450 | 25 | 4 1 1 |

Atomic structure:
Cell: 13.1714 4.2124 14.6301 Å, 90.00 101.84 90.00°
Space group P2_1/m (No. 11)
Symmetry-distinct sites (fractional):
Ho: 0.0468 0.2500 0.3618 (multiplicity 2)
Ho: 0.3312 0.2500 0.5778 (multiplicity 2)
Ho: 0.3384 0.2500 0.8554 (multiplicity 2)
Ho: 0.3930 0.7500 0.2300 (multiplicity 2)
Sb: 0.0306 0.2500 0.0903 (multiplicity 2)
Sb: 0.1389 0.2500 0.6787 (multiplicity 2)
Sb: 0.1412 0.7500 0.2217 (multiplicity 2)
Sb: 0.1439 0.7500 0.5180 (multiplicity 2)
Sb: 0.1526 0.7500 0.8302 (multiplicity 2)
Sb: 0.2785 0.2500 0.0636 (multiplicity 2)
Sb: 0.2836 0.2500 0.3472 (multiplicity 2)
Sb: 0.4198 0.7500 0.0248 (multiplicity 2)
Sb: 0.4248 0.7500 0.7346 (multiplicity 2)
Sb: 0.4257 0.7500 0.4492 (multiplicity 2)